Entry 1:
This entry pairs a crystal structure of CeNd4Tm8 with its simulated PXRD pattern. Radiation: CuKα. Structure: a PBE-relaxed structure.
Peak positions follow from Bragg's law for the DFT cell and can differ from measured ones.

Structure:
Unit cell a=10.9880 b=10.9880 c=13.3729 alpha=90.00 beta=90.00 gamma=120.00
Space group R-3m (No. 166, hexagonal axes)
Inequivalent atoms, fractional coordinates:
Ce: 0.0000 0.0000 0.0000
Nd: 0.0000 0.0000 0.5000
Nd: 0.0000 0.5000 0.5000
Tm: 0.0000 0.0000 0.2582
Tm: 0.0104 0.5052 0.2460

Most intense lines, 5 to 70 degrees two-theta, sorted by position:
two_theta, I/Imax, h k l
19.81, 15, 0 2 1
22.94, 22, 2 0 2
32.60, 100, 2 2 0
32.74, 99, 0 2 4
46.87, 36, 4 0 4
58.23, 56, 6 0 0
58.53, 18, 2 0 8
68.29, 11, 4 4 0



Entry 2:
This entry pairs a crystal structure of Pb3I2Cl4O6 with its simulated PXRD pattern. Radiation: CuKα. Structure: a PBE-relaxed structure.
Peak positions follow from Bragg's law for the DFT cell and can differ from measured ones.

Structure:
Unit cell a=15.8030 b=7.5305 c=12.2999 alpha=90.00 beta=118.47 gamma=90.00
Space group C2/c (No. 15)
Inequivalent atoms, fractional coordinates:
Pb: 0.0000 0.1763 0.2500
Pb: 0.1971 0.1323 0.6812
I: 0.0491 0.2841 0.9669
Cl: 0.1244 0.4503 0.7703
Cl: 0.2034 0.0622 0.3851
O: 0.0081 0.0845 0.6252
O: 0.0386 0.3154 0.4762
O: 0.1507 0.1882 0.1048

Most intense lines, 5 to 70 degrees two-theta, sorted by position:
two_theta, I/Imax, h k l
15.23, 39, 2 0 -2
22.91, 31, 4 0 -2
25.31, 83, 1 1 -3
25.84, 31, 3 1 -3
26.31, 73, 2 2 -1
27.00, 100, 3 1 1
32.30, 33, 2 2 -3
41.46, 38, 1 3 2



Entry 3:
This entry pairs a crystal structure of Ni3Au with its simulated PXRD pattern. Radiation: CuKα. Structure: a PBE-relaxed structure.
Peak positions follow from Bragg's law for the DFT cell and can differ from measured ones.

Structure:
Unit cell a=8.5700 b=2.6866 c=4.5445 alpha=90.00 beta=101.28 gamma=90.00
Space group C2/m (No. 12)
Inequivalent atoms, fractional coordinates:
Ni: 0.0000 0.0000 0.0000
Ni: 0.2431 0.5000 0.2257
Au: 0.0000 0.5000 0.5000

Most intense lines, 5 to 70 degrees two-theta, sorted by position:
two_theta, I/Imax, h k l
19.92, 26, 0 0 1
21.14, 32, 2 0 0
26.15, 22, 2 0 -1
41.74, 100, 1 1 1
42.01, 49, 2 0 -2
43.05, 46, 4 0 0
48.60, 64, 3 1 -1
49.94, 28, 2 0 2



Entry 4:
This entry pairs a crystal structure of Pr5Ho5Sc2 with its simulated PXRD pattern. Radiation: CuKα. Structure: a PBE-relaxed structure.
Peak positions follow from Bragg's law for the DFT cell and can differ from measured ones.

Structure:
Unit cell a=15.0894 b=5.0317 c=11.2690 alpha=90.00 beta=116.40 gamma=90.00
Space group C2/m (No. 12)
Inequivalent atoms, fractional coordinates:
Pr: 0.0000 0.0000 0.0000
Pr: 0.1621 0.0000 0.4983
Pr: 0.2461 0.5000 0.7505
Ho: 0.0000 0.5000 0.5000
Ho: 0.0794 0.5000 0.2490
Ho: 0.1679 0.5000 0.0001
Sc: 0.0835 0.0000 0.7550

Most intense lines, 5 to 70 degrees two-theta, sorted by position:
two_theta, I/Imax, h k l
30.75, 100, 3 1 1
35.58, 17, 0 0 4
35.69, 33, 0 2 0
51.26, 18, 0 2 4
51.36, 18, 6 2 -2
60.92, 14, 3 1 -7
61.07, 28, 3 3 1
64.05, 12, 6 2 -6



Entry 5:
This entry pairs a crystal structure of Pm6ZnCo with its simulated PXRD pattern. Radiation: CuKα. Structure: a PBE-relaxed structure.
Peak positions follow from Bragg's law for the DFT cell and can differ from measured ones.

Structure:
Unit cell a=5.0792 b=5.0792 c=17.6722 alpha=90.00 beta=90.00 gamma=90.00
Space group I4/mmm (No. 139)
Inequivalent atoms, fractional coordinates:
Pm: 0.0000 0.0000 0.2481
Pm: 0.0000 0.5000 0.0972
Zn: 0.0000 0.0000 0.0000
Co: 0.0000 0.0000 0.5000

Most intense lines, 5 to 70 degrees two-theta, sorted by position:
two_theta, I/Imax, h k l
26.79, 27, 1 1 2
30.35, 17, 0 0 6
32.12, 100, 1 1 4
35.34, 52, 2 0 0
47.26, 20, 2 0 6
50.85, 18, 2 2 0
58.18, 13, 1 1 10
61.42, 31, 3 1 4



Please write out number 4 again, unchanged.
This entry pairs a crystal structure of Pr5Ho5Sc2 with its simulated PXRD pattern. Radiation: CuKα. Structure: a PBE-relaxed structure.
Peak positions follow from Bragg's law for the DFT cell and can differ from measured ones.

Structure:
Unit cell a=15.0894 b=5.0317 c=11.2690 alpha=90.00 beta=116.40 gamma=90.00
Space group C2/m (No. 12)
Inequivalent atoms, fractional coordinates:
Pr: 0.0000 0.0000 0.0000
Pr: 0.1621 0.0000 0.4983
Pr: 0.2461 0.5000 0.7505
Ho: 0.0000 0.5000 0.5000
Ho: 0.0794 0.5000 0.2490
Ho: 0.1679 0.5000 0.0001
Sc: 0.0835 0.0000 0.7550

Most intense lines, 5 to 70 degrees two-theta, sorted by position:
two_theta, I/Imax, h k l
30.75, 100, 3 1 1
35.58, 17, 0 0 4
35.69, 33, 0 2 0
51.26, 18, 0 2 4
51.36, 18, 6 2 -2
60.92, 14, 3 1 -7
61.07, 28, 3 3 1
64.05, 12, 6 2 -6